Theoretical powder X-ray diffraction pattern
Compound: Pr2NpCuTe5
Radiation: a wavelength of 1.5418 Å
Structure: a PBE-relaxed structure
Lines closer than 0.1° are merged.

Structure:
a = 9.825 Å, b = 9.825 Å, c = 13.095 Å
α = 90.00°, β = 90.00°, γ = 154.43°
Fractional coordinates of all 18 atoms:
Pr 0.109 0.891 0.500
Pr 0.124 0.876 0.122
Pr 0.876 0.124 0.622
Pr 0.891 0.109 0.000
Np 0.195 0.805 0.824
Np 0.805 0.195 0.324
Cu 0.429 0.571 0.272
Cu 0.571 0.429 0.772
Te 0.044 0.956 0.877
Te 0.288 0.712 0.488
Te 0.313 0.687 0.157
Te 0.359 0.641 0.815
Te 0.500 0.500 0.101
Te 0.500 0.500 0.601
Te 0.641 0.359 0.315
Te 0.687 0.313 0.657
Te 0.712 0.288 0.988
Te 0.956 0.044 0.377

The 10 most intense peaks (10° ≤ 2θ ≤ 90°), by angle:
d (Å)	Position (°2θ)	I_rel
3.559	25.0	14
3.103	28.8	46
3.041	29.4	100
2.632	34.1	68
2.401	37.5	11
2.283	39.5	16
2.183	41.4	16
2.174	41.5	28
2.025	44.8	12
1.780	51.3	18